Structure and computed powder diffraction line list of CsRbCdAg3 (a DFT-relaxed cell (GGA-PBE, Alexandria); Cu Kα X-rays).

Structural model:
```
data_CsRbCdAg3
_chemical_formula_sum 'Cs4 Rb4 Cd4 Ag12'
_symmetry_space_group_name_H-M 'C 1 2/c 1'
_symmetry_Int_Tables_number 15
_cell_length_a 7.3838
_cell_length_b 18.1968
_cell_length_c 6.9351
_cell_angle_alpha 90.00
_cell_angle_beta 117.14
_cell_angle_gamma 90.00
loop_
_symmetry_equiv_pos_as_xyz
'x,y,z'
'-x,-y,-z'
'-x,y,-z+1/2'
'x,-y,z+1/2'
'x+1/2,y+1/2,z'
'-x+1/2,-y+1/2,-z'
'-x+1/2,y+1/2,-z+1/2'
'x+1/2,-y+1/2,z+1/2'
loop_
_atom_site_label
_atom_site_fract_x
_atom_site_fract_y
_atom_site_fract_z
_atom_site_occupancy
Cs1 0.0000 0.2256 0.2500 1
Rb1 0.0000 0.4000 0.7500 1
Cd1 0.0000 0.0061 0.2500 1
Ag1 0.0000 0.1551 0.7500 1
Ag2 0.2127 0.4203 0.3456 1
```

Largest 10 diffraction maxima, in order of rising 2θ, 10° ≤ 2θ ≤ 90°:
(0 2 1), d = 5.107 Å, 17.4°, I 263
(1 5 0), d = 3.181 Å, 28.1°, I 1000
(1 5 -1), d = 3.125 Å, 28.6°, I 491
(0 0 2), d = 3.086 Å, 28.9°, I 695
(2 0 -2), d = 3.047 Å, 29.3°, I 470
(1 5 -2), d = 2.510 Å, 35.8°, I 598
(1 1 2), d = 2.383 Å, 37.8°, I 282
(3 3 -1), d = 2.268 Å, 39.7°, I 353
(2 4 1), d = 2.173 Å, 41.6°, I 231
(2 8 -1), d = 1.934 Å, 47.0°, I 296